[1]
The following is a simulated X-ray powder pattern of DySe2. It was derived from a structure optimized by DFT (GGA-PBE), using Cu Kα, 1.54184 Å.
No peak broadening, texture or thermal motion is included.

The 12 most intense peaks (2θ from 10° to 90°), most intense first:
2.369 Å, 37.98 deg, I = 100.0
2.721 Å, 32.92 deg, I = 65.4
2.296 Å, 39.24 deg, I = 61.0
2.035 Å, 44.52 deg, I = 57.3
3.658 Å, 24.33 deg, I = 55.5
1.230 Å, 77.63 deg, I = 39.3
2.878 Å, 31.07 deg, I = 38.8
1.523 Å, 60.82 deg, I = 33.7
2.780 Å, 32.19 deg, I = 31.0
1.642 Å, 55.99 deg, I = 25.2
1.439 Å, 64.78 deg, I = 18.6
1.544 Å, 59.92 deg, I = 15.4

Structural model:
```
DySe2
1.0
4.0706 0.0000 0.0000
0.0000 4.0706 0.0000
0.0000 0.0000 8.3414
Dy Se
2 4
direct
0.2500 0.2500 0.2261
0.7500 0.7500 0.7739
0.2500 0.2500 0.8697
0.2500 0.7500 0.5000
0.7500 0.2500 0.5000
0.7500 0.7500 0.1303
```



[2]
The following is a simulated X-ray powder pattern of SrDy2Se4. It was derived from a structure optimized by DFT (GGA-PBE), using Cu Kα, 1.54184 Å.
No peak broadening, texture or thermal motion is included.

The 12 most intense peaks (2θ from 10° to 90°), most intense first:
2.547 Å, 35.23 deg, I = 100.0
2.899 Å, 30.84 deg, I = 77.6
3.662 Å, 24.30 deg, I = 75.6
3.494 Å, 25.49 deg, I = 65.3
2.508 Å, 35.80 deg, I = 63.4
2.078 Å, 43.55 deg, I = 62.8
3.100 Å, 28.80 deg, I = 60.2
2.086 Å, 43.38 deg, I = 48.6
2.031 Å, 44.63 deg, I = 47.0
3.757 Å, 23.68 deg, I = 42.2
2.327 Å, 38.70 deg, I = 39.0
2.721 Å, 32.92 deg, I = 38.7

Structural model:
```
SrDy2Se4
1.0
12.5834 0.0000 0.0000
0.0000 4.1564 0.0000
0.0000 0.0000 15.0268
Sr Dy Se
4 8 16
direct
0.2413 0.2500 0.1644
0.2587 0.7500 0.6644
0.7413 0.2500 0.3356
0.7587 0.7500 0.8356
0.0666 0.2500 0.3904
0.0801 0.2500 0.9009
0.4199 0.7500 0.4009
0.4334 0.7500 0.8904
0.5666 0.2500 0.1096
0.5801 0.2500 0.5991
0.9199 0.7500 0.0991
0.9334 0.7500 0.6096
0.0241 0.7500 0.7837
0.0882 0.2500 0.5789
0.1322 0.7500 0.0276
0.2074 0.7500 0.3263
0.2926 0.2500 0.8263
0.3678 0.2500 0.5276
0.4118 0.7500 0.0789
0.4759 0.2500 0.2837
0.5241 0.7500 0.7163
0.5882 0.2500 0.9211
0.6322 0.7500 0.4724
0.7074 0.7500 0.1737
0.7926 0.2500 0.6737
0.8678 0.2500 0.9724
0.9118 0.7500 0.4211
0.9759 0.2500 0.2163
```



[3]
The following is a simulated X-ray powder pattern of Dy2Te3Se. It was derived from a structure optimized by DFT (GGA-PBE), using Cu Kα, 1.54184 Å.
No peak broadening, texture or thermal motion is included.

The 12 most intense peaks (2θ from 10° to 90°), most intense first:
5.946 Å, 14.90 deg, I = 100.0
3.954 Å, 22.49 deg, I = 83.8
2.443 Å, 36.79 deg, I = 82.9
3.674 Å, 24.23 deg, I = 66.7
2.187 Å, 41.27 deg, I = 52.3
2.725 Å, 32.86 deg, I = 47.5
4.330 Å, 20.51 deg, I = 45.8
2.736 Å, 32.74 deg, I = 42.2
5.419 Å, 16.36 deg, I = 41.9
2.378 Å, 37.83 deg, I = 37.5
2.598 Å, 34.52 deg, I = 36.9
6.702 Å, 13.21 deg, I = 36.9

Structural model:
```
Dy2Te3Se
1.0
3.6779 -8.1768 0.0000
3.6779 8.1768 0.0000
-0.4246 0.0000 8.6606
Dy Te Se
4 6 2
direct
0.0630 0.9370 0.5000
0.3545 0.8271 0.9965
0.8271 0.3545 0.4965
0.9370 0.0630 0.0000
0.1079 0.9050 0.1595
0.1624 0.7339 0.6772
0.3256 0.4975 0.0976
0.4975 0.3256 0.5976
0.7339 0.1624 0.1772
0.9050 0.1079 0.6595
0.5653 0.7227 0.8677
0.7227 0.5653 0.3677
```



[4]
The following is a simulated X-ray powder pattern of DyTlSe2. It was derived from a structure optimized by DFT (GGA-PBE), using Cu Kα, 1.54184 Å.
No peak broadening, texture or thermal motion is included.

The 12 most intense peaks (2θ from 10° to 90°), most intense first:
3.079 Å, 29.00 deg, I = 100.0
2.272 Å, 39.67 deg, I = 37.8
2.094 Å, 43.21 deg, I = 35.5
3.463 Å, 25.73 deg, I = 21.0
1.731 Å, 52.88 deg, I = 18.8
1.334 Å, 70.59 deg, I = 15.9
1.424 Å, 65.54 deg, I = 14.0
3.887 Å, 22.88 deg, I = 11.5
1.540 Å, 60.09 deg, I = 11.2
1.240 Å, 76.85 deg, I = 11.0
1.843 Å, 49.45 deg, I = 9.4
1.962 Å, 46.29 deg, I = 7.9

Structural model:
```
DyTlSe2
1.0
2.0937 1.2088 7.7738
-2.0937 1.2088 7.7738
0.0000 -2.4176 7.7738
Dy Tl Se
1 1 2
direct
0.0000 0.0000 0.0000
0.5000 0.5000 0.5000
0.2652 0.2652 0.2652
0.7348 0.7348 0.7348
```



[5]
The following is a simulated X-ray powder pattern of Dy2Si3. It was derived from a structure optimized by DFT (GGA-PBE), using Cu Kα, 1.54184 Å.
No peak broadening, texture or thermal motion is included.

The 12 most intense peaks (2θ from 10° to 90°), most intense first:
2.582 Å, 34.75 deg, I = 100.0
3.009 Å, 29.69 deg, I = 32.0
3.436 Å, 25.93 deg, I = 31.6
3.744 Å, 23.77 deg, I = 30.5
3.832 Å, 23.21 deg, I = 29.4
2.966 Å, 30.13 deg, I = 24.3
2.245 Å, 40.16 deg, I = 20.6
2.264 Å, 39.82 deg, I = 17.8
1.761 Å, 51.92 deg, I = 16.4
1.995 Å, 45.47 deg, I = 14.4
1.769 Å, 51.66 deg, I = 14.2
1.945 Å, 46.69 deg, I = 13.3

Structural model:
```
Dy2Si3
1.0
-1.9455 1.9950 6.8728
1.9455 -1.9950 6.8728
1.9455 1.9950 -6.8728
Dy Si
2 3
direct
0.0000 0.0000 0.0000
0.7536 0.2536 0.5000
0.1585 0.6585 0.5000
0.3281 0.8281 0.5000
0.4282 0.4282 0.0000
```